Calculated PXRD pattern
Compound: DyEr6Fe2Te2
Radiation: a wavelength of 1.5418 Å
Structure: DFT lattice parameters and positions (PBE)
No peak broadening, texture or thermal motion is included.

Peak list (10 most intense, 2θ = 15–90°, in order of rising 2θ)
2θ 28.86, I 24
2θ 30.20, I 21
2θ 30.74, I 54
2θ 33.74, I 83
2θ 34.12, I 100
2θ 34.47, I 30
2θ 34.87, I 60
2θ 37.33, I 21
2θ 47.24, I 31
2θ 59.31, I 33

Crystal structure
abc: 9.2792 9.2792 9.2792
angles: 156.07 65.46 120.08
Fractional coordinates of all 11 atoms:
Dy 0.0000 0.0000 0.0000
Er 0.0610 0.3746 0.6863
Er 0.0842 0.7348 0.3494
Er 0.3854 0.7348 0.6506
Er 0.4456 0.5818 0.8638
Er 0.6883 0.3746 0.3137
Er 0.7180 0.5818 0.1362
Fe 0.3053 0.0680 0.2373
Fe 0.8308 0.0680 0.7627
Te 0.3362 0.3362 0.0000
Te 0.7323 0.2323 0.5000